Theoretical X-ray powder pattern of Na2GdMnAs2O9 for λ = 1.5418 Å (Cu Kα), from a structure optimized by DFT (GGA+U).

Atomic structure:
abc: 5.9063 15.0719 10.5581
angles: 90.00 120.89 90.00
Fractional coordinates of all 60 atoms:
1 Na 0.0835 0.1359 0.3169
2 Na 0.0835 0.3641 0.8169
3 Na 0.3655 0.2306 0.0966
4 Na 0.3655 0.2694 0.5966
5 Na 0.6345 0.7306 0.4034
6 Na 0.6345 0.7694 0.9034
7 Na 0.9165 0.6359 0.1831
8 Na 0.9165 0.8641 0.6831
9 Gd 0.0143 0.1189 0.7141
10 Gd 0.0143 0.3811 0.2141
11 Gd 0.9857 0.6189 0.7859
12 Gd 0.9857 0.8811 0.2859
13 Mn 0.0000 0.0000 0.0000
14 Mn 0.0000 0.5000 0.5000
15 Mn 0.5000 0.0000 0.0000
16 Mn 0.5000 0.5000 0.5000
17 As 0.2828 0.7035 0.5685
18 As 0.2828 0.7965 0.0685
19 As 0.4129 0.0037 0.6506
20 As 0.4129 0.4963 0.1506
21 As 0.5871 0.5037 0.8494
22 As 0.5871 0.9963 0.3494
23 As 0.7172 0.2035 0.9315
24 As 0.7172 0.2965 0.4315
25 O 0.0424 0.7476 0.4056
26 O 0.0424 0.7524 0.9056
27 O 0.2033 0.7205 0.7019
28 O 0.2033 0.7795 0.2019
29 O 0.2236 0.0791 0.9707
30 O 0.2236 0.4209 0.4707
31 O 0.2443 0.9998 0.2493
32 O 0.2443 0.5002 0.7493
33 O 0.2556 0.5916 0.5160
34 O 0.2556 0.9084 0.0160
35 O 0.2791 0.1075 0.5899
36 O 0.2791 0.3925 0.0899
37 O 0.2832 0.5193 0.2647
38 O 0.2832 0.9807 0.7647
39 O 0.3098 0.5759 0.0185
40 O 0.3098 0.9241 0.5185
41 O 0.3973 0.2309 0.8719
42 O 0.3973 0.2691 0.3719
43 O 0.6027 0.7309 0.6281
44 O 0.6027 0.7691 0.1281
45 O 0.6902 0.0759 0.4815
46 O 0.6902 0.4241 0.9815
47 O 0.7168 0.0193 0.2353
48 O 0.7168 0.4807 0.7353
49 O 0.7209 0.6075 0.9101
50 O 0.7209 0.8925 0.4101
51 O 0.7444 0.0916 0.9840
52 O 0.7444 0.4084 0.4840
53 O 0.7557 0.0002 0.7507
54 O 0.7557 0.4998 0.2507
55 O 0.7764 0.5791 0.5293
56 O 0.7764 0.9209 0.0293
57 O 0.7967 0.2205 0.7981
58 O 0.7967 0.2795 0.2981
59 O 0.9576 0.2476 0.0944
60 O 0.9576 0.2524 0.5944

Peak list (10 most intense, 2θ from 15° to 90°, by intensity)
Position (°2θ)  I (rel.)  index
15.29  100  0 2 1
30.08  55  1 4 -2
29.54  49  1 4 0
30.18  39  0 1 3
26.90  30  1 2 1
31.12  29  1 3 -3
30.31  25  2 0 -2
19.31  23  1 1 -2
30.88  23  0 4 2
32.58  22  1 0 2